Entry 1:
Computed PXRD pattern of BaNbBi2O8 for Cu Ka, from DFT lattice parameters and positions (PBE).
Neutral-atom scattering factors, no anomalous dispersion.

Largest 10 diffraction maxima, low angle first, 2θ = 10–80°:
two_theta  intensity  hkl
17.34  17.7  1 1 0
24.21  58.8  0 2 0
25.01  50.4  2 0 0
29.96  100.0  1 1 2
35.09  29.9  2 2 0
46.34  39.7  1 3 2
47.25  35.6  3 1 2
49.63  17.1  0 4 0
56.37  19.4  2 0 4
59.81  21.5  3 3 2

Cell and atoms:
a b c (Å): 7.121 7.352 7.341
angles (deg): 90.00 90.00 90.00
Space group Cmmm (No. 65)
Unique sites:
Ba: 0.000 0.000 0.000
Nb: 0.000 0.000 0.500
Bi: 0.000 0.500 0.269
O: 0.000 0.292 0.500
O: 0.000 0.341 0.000
O: 0.191 0.000 0.304

Entry 2:
Computed PXRD pattern of BaNb4Bi4PbO18 for Cu Ka, from DFT lattice parameters and positions (PBE).
Neutral-atom scattering factors, no anomalous dispersion.

Largest 10 diffraction maxima, low angle first, 2θ = 10–80°:
two_theta  intensity  hkl
14.02  9.9  0 4 0
28.41  100.0  1 5 1
31.49  15.6  0 0 2
31.60  19.6  2 0 0
35.53  13.1  0 10 0
45.21  19.2  2 0 2
48.24  22.3  2 10 0
54.20  12.9  1 5 3
54.33  17.1  3 5 1
58.78  11.7  2 10 2

Cell and atoms:
a b c (Å): 5.663 25.269 5.682
angles (deg): 90.00 90.00 90.00
Space group Amm2 (No. 38)
Unique sites:
Ba: 0.000 0.000 0.000
Nb: 0.000 0.086 0.492
Nb: 0.500 0.086 0.995
Bi: 0.000 0.202 0.045
Bi: 0.500 0.201 0.455
Pb: 0.500 0.000 0.483
O: 0.000 0.000 0.538
O: 0.000 0.160 0.427
O: 0.245 0.088 0.768
O: 0.249 0.248 0.754
O: 0.256 0.071 0.269
O: 0.500 0.000 0.981
O: 0.500 0.159 0.084

Entry 3:
Computed PXRD pattern of BaNdBi4Rh2 for Cu Ka, from DFT lattice parameters and positions (PBE).
Neutral-atom scattering factors, no anomalous dispersion.

Largest 10 diffraction maxima, low angle first, 2θ = 10–80°:
two_theta  intensity  hkl
16.21  26.2  0 0 2
31.15  100.0  1 1 2
32.77  13.7  0 0 4
37.71  42.2  2 0 0
37.94  11.3  1 0 4
42.57  19.7  1 1 4
50.80  16.5  2 0 4
54.38  14.8  2 2 0
57.48  15.8  1 1 6
64.01  26.4  3 1 2

Cell and atoms:
a b c (Å): 4.772 4.772 10.933
angles (deg): 90.00 90.00 90.00
Space group P4/mmm (No. 123)
Unique sites:
Ba: 0.000 0.000 0.000
Nd: 0.000 0.000 0.500
Bi: 0.000 0.500 0.257
Rh: 0.500 0.500 0.380